The following is a theoretical powder diffractogram of Mg3Ni9GeC2. It was derived from the GGA-PBE geometry in Alexandria, using Cu Kα.
Peak positions follow from Bragg's law for the DFT cell and can differ from measured ones.

Largest 6 diffraction maxima, by intensity, 10 to 90 degrees two-theta:
two_theta, d [Å], I_rel
46.29, 1.962, 100.0
41.76, 2.163, 84.3
22.67, 3.923, 60.4
72.98, 1.296, 26.1
44.98, 2.015, 22.7
53.16, 1.723, 19.6

Atomic structure:
Cell: 5.1855 5.1855 8.0607 Å, 90.00 90.00 120.00°
Fractional positions:
1 Mg 0.0000 0.0000 0.0000
2 Mg 0.3333 0.6667 0.6037
3 Mg 0.6667 0.3333 0.3963
4 Ni 0.0000 0.5000 0.0000
5 Ni 0.1639 0.3277 0.2731
6 Ni 0.1639 0.8361 0.2731
7 Ni 0.3277 0.1639 0.7269
8 Ni 0.5000 0.0000 0.0000
9 Ni 0.5000 0.5000 0.0000
10 Ni 0.6723 0.8361 0.2731
11 Ni 0.8361 0.1639 0.7269
12 Ni 0.8361 0.6723 0.7269
13 Ge 0.0000 0.0000 0.5000
14 C 0.3333 0.6667 0.1437
15 C 0.6667 0.3333 0.8563

=====

The following is a theoretical powder diffractogram of Pb2SeI. It was derived from the GGA-PBE geometry in Alexandria, using Cu Kα.
Peak positions follow from Bragg's law for the DFT cell and can differ from measured ones.

Largest 6 diffraction maxima, by intensity, 10 to 90 degrees two-theta:
two_theta, d [Å], I_rel
27.88, 3.200, 100.0
37.53, 2.397, 47.3
27.41, 3.254, 46.6
41.39, 2.181, 21.8
35.76, 2.511, 19.8
42.09, 2.147, 16.5

Atomic structure:
Cell: 9.7324 9.7324 7.6953 Å, 106.16 106.16 117.12°
Fractional positions:
1 Pb 0.0437 0.4191 0.2962
2 Pb 0.1693 0.3030 0.7075
3 Pb 0.3030 0.1693 0.2075
4 Pb 0.4191 0.0437 0.7962
5 Pb 0.5809 0.9563 0.2038
6 Pb 0.6970 0.8307 0.7925
7 Pb 0.8307 0.6970 0.2925
8 Pb 0.9563 0.5809 0.7038
9 Se 0.0615 0.9385 0.7500
10 Se 0.3156 0.6844 0.7500
11 Se 0.6844 0.3156 0.2500
12 Se 0.9385 0.0615 0.2500
13 I 0.1893 0.8107 0.2500
14 I 0.4374 0.5626 0.2500
15 I 0.5626 0.4374 0.7500
16 I 0.8107 0.1893 0.7500

=====

The following is a theoretical powder diffractogram of MnNbCoIr. It was derived from the GGA-PBE geometry in Alexandria, using Cu Kα.
Peak positions follow from Bragg's law for the DFT cell and can differ from measured ones.

Largest 6 diffraction maxima, by intensity, 10 to 90 degrees two-theta:
two_theta, d [Å], I_rel
41.18, 2.192, 100.0
48.23, 1.887, 31.4
23.59, 3.772, 24.1
33.26, 2.693, 20.7
69.86, 1.346, 20.1
47.30, 1.922, 16.6

Atomic structure:
Cell: 3.7702 3.7775 3.8435 Å, 90.00 90.00 90.00°
Fractional positions:
1 Mn 0.0000 0.0000 0.0000
2 Nb 0.5000 0.0000 0.5000
3 Co 0.0000 0.5000 0.5000
4 Ir 0.5000 0.5000 0.0000

=====

The following is a theoretical powder diffractogram of Rb2CaDyF6. It was derived from the GGA-PBE geometry in Alexandria, using Cu Kα.
Peak positions follow from Bragg's law for the DFT cell and can differ from measured ones.

Largest 6 diffraction maxima, by intensity, 10 to 90 degrees two-theta:
two_theta, d [Å], I_rel
27.61, 3.231, 100.0
39.24, 2.296, 39.1
16.95, 5.229, 30.9
49.19, 1.852, 28.9
27.01, 3.301, 28.8
27.92, 3.196, 25.2

Atomic structure:
Cell: 6.6018 9.0945 6.3918 Å, 90.00 90.00 90.00°
Fractional positions:
1 Rb 0.2500 0.0115 0.2219
2 Rb 0.2500 0.4885 0.2219
3 Rb 0.7500 0.5115 0.7781
4 Rb 0.7500 0.9885 0.7781
5 Ca 0.2500 0.2500 0.7323
6 Ca 0.7500 0.7500 0.2677
7 Dy 0.2500 0.7500 0.7382
8 Dy 0.7500 0.2500 0.2618
9 F 0.0050 0.7500 0.0014
10 F 0.0404 0.2500 0.4406
11 F 0.2500 0.5051 0.7606
12 F 0.2500 0.9949 0.7606
13 F 0.4596 0.2500 0.4406
14 F 0.4950 0.7500 0.0014
15 F 0.5050 0.2500 0.9986
16 F 0.5404 0.7500 0.5594
17 F 0.7500 0.0051 0.2394
18 F 0.7500 0.4949 0.2394
19 F 0.9596 0.7500 0.5594
20 F 0.9950 0.2500 0.9986

=====

The following is a theoretical powder diffractogram of Na2NiPt3. It was derived from the GGA-PBE geometry in Alexandria, using Cu Kα.
Peak positions follow from Bragg's law for the DFT cell and can differ from measured ones.

Largest 6 diffraction maxima, by intensity, 10 to 90 degrees two-theta:
two_theta, d [Å], I_rel
41.53, 2.175, 100.0
21.55, 4.124, 97.8
39.47, 2.283, 83.2
20.42, 4.349, 73.6
49.04, 1.857, 53.1
40.10, 2.249, 45.1

Atomic structure:
Cell: 5.1578 5.1578 5.1578 Å, 62.67 62.67 62.67°
Fractional positions:
1 Na 0.1234 0.1234 0.1234
2 Na 0.8766 0.8766 0.8766
3 Ni 0.5000 0.5000 0.5000
4 Pt 0.0000 0.5000 0.5000
5 Pt 0.5000 0.0000 0.5000
6 Pt 0.5000 0.5000 0.0000

=====

The following is a theoretical powder diffractogram of Na3PuO4. It was derived from the GGA-PBE geometry in Alexandria, using Cu Kα.
Peak positions follow from Bragg's law for the DFT cell and can differ from measured ones.

Largest 6 diffraction maxima, by intensity, 10 to 90 degrees two-theta:
two_theta, d [Å], I_rel
16.10, 5.505, 100.0
30.69, 2.913, 38.4
37.32, 2.410, 35.6
18.74, 4.734, 31.9
32.21, 2.779, 22.6
32.53, 2.752, 22.5

Atomic structure:
Cell: 6.7662 9.4680 3.4333 Å, 90.00 90.00 90.00°
Fractional positions:
1 Na 0.0000 0.0000 0.0000
2 Na 0.2500 0.2500 0.5000
3 Na 0.2500 0.7500 0.5000
4 Na 0.5000 0.5000 0.0000
5 Na 0.7500 0.2500 0.5000
6 Na 0.7500 0.7500 0.5000
7 Pu 0.0000 0.5000 0.0000
8 Pu 0.5000 0.0000 0.0000
9 O 0.0000 0.2895 0.0000
10 O 0.0000 0.7105 0.0000
11 O 0.2208 0.5000 0.5000
12 O 0.2792 0.0000 0.5000
13 O 0.5000 0.2105 0.0000
14 O 0.5000 0.7895 0.0000
15 O 0.7208 0.0000 0.5000
16 O 0.7792 0.5000 0.5000